[1]
Theoretical powder diffraction line list of AlZn2P for Cu Kα (λ = 1.5418 Å), from a PBE-relaxed structure.
Peak positions follow from Bragg's law for the DFT cell and can differ from measured ones.

Main lines, by angle (10 to 80 degrees two-theta):
4.993 Å, I 66
2.617 Å, I 79
2.506 Å, I 13
2.497 Å, I 69
2.318 Å, I 21
2.240 Å, I 100
1.810 Å, I 9
1.806 Å, I 50
1.702 Å, I 82
1.465 Å, I 9
1.386 Å, I 20
1.225 Å, I 26

Atomic structure:
```
data_AlZn2P
_symmetry_space_group_name_H-M 'F m m m'
_symmetry_Int_Tables_number 69
_symmetry_space_group_name_Hall '-F 2 2'
_cell_length_a 5.0116
_cell_length_b 5.2341
_cell_length_c 9.9869
_cell_angle_alpha 90.00
_cell_angle_beta 90.00
_cell_angle_gamma 90.00
loop_
_atom_site_label
_atom_site_fract_x
_atom_site_fract_y
_atom_site_fract_z
Al1 0.0000 0.0000 0.0000
Zn1 0.2500 0.0000 0.2500
P1 0.0000 0.0000 0.5000
```

***

[2]
Theoretical powder diffraction line list of Rb4Th3NiSe8 for Cu Kα (λ = 1.5418 Å), from a PBE-relaxed structure.
Peak positions follow from Bragg's law for the DFT cell and can differ from measured ones.

Main lines, by angle (10 to 80 degrees two-theta):
8.035 Å, I 58
4.018 Å, I 14
3.227 Å, I 55
3.125 Å, I 100
2.504 Å, I 15
2.353 Å, I 17
2.331 Å, I 36
2.168 Å, I 38
2.089 Å, I 23
2.009 Å, I 16
1.754 Å, I 18
1.563 Å, I 13

Atomic structure:
```
data_Rb4Th3NiSe8
_symmetry_space_group_name_H-M 'C 1 2/m 1'
_symmetry_Int_Tables_number 12
_symmetry_space_group_name_Hall '-C 2y'
_cell_length_a 15.2120
_cell_length_b 8.3580
_cell_length_c 9.4691
_cell_angle_alpha 90.00
_cell_angle_beta 121.95
_cell_angle_gamma 90.00
loop_
_atom_site_label
_atom_site_fract_x
_atom_site_fract_y
_atom_site_fract_z
Rb1 0.0000 0.0000 0.0000
Rb2 0.0000 0.5000 0.0000
Rb3 0.2500 0.2500 0.0000
Th1 0.0000 0.0000 0.5000
Th2 0.2500 0.2500 0.5000
Ni1 0.0000 0.5000 0.5000
Se1 0.0206 0.2682 0.3190
Se2 0.2314 0.0000 0.7060
Se3 0.2501 0.0000 0.2872
```

***

[3]
Theoretical powder diffraction line list of K2InHg6Sb for Cu Kα (λ = 1.5418 Å), from a PBE-relaxed structure.
Peak positions follow from Bragg's law for the DFT cell and can differ from measured ones.

Main lines, by angle (10 to 80 degrees two-theta):
6.242 Å, I 27
5.219 Å, I 45
3.633 Å, I 28
3.052 Å, I 43
2.887 Å, I 100
2.796 Å, I 24
2.459 Å, I 33
2.447 Å, I 25
2.337 Å, I 20
2.251 Å, I 38
2.081 Å, I 31
1.881 Å, I 28

Atomic structure:
```
data_K2InHg6Sb
_symmetry_space_group_name_H-M 'R -3 m'
_symmetry_Int_Tables_number 166
_symmetry_space_group_name_Hall '-R 3 2"'
_cell_length_a 7.5233
_cell_length_b 7.5233
_cell_length_c 43.5921
_cell_angle_alpha 90.00
_cell_angle_beta 90.00
_cell_angle_gamma 120.00
loop_
_atom_site_label
_atom_site_fract_x
_atom_site_fract_y
_atom_site_fract_z
K1 0.0000 0.0000 0.1291
K2 0.0000 0.0000 0.2815
In1 0.0000 0.0000 0.0000
In2 0.0000 0.0000 0.5000
Hg1 0.0486 0.5243 0.7196
Hg2 0.0626 0.5313 0.8697
Sb1 0.0000 0.0000 0.4211
```

***

[4]
Theoretical powder diffraction line list of Nd3DyS6 for Cu Kα (λ = 1.5418 Å), from a PBE-relaxed structure.
Peak positions follow from Bragg's law for the DFT cell and can differ from measured ones.

Main lines, by angle (10 to 80 degrees two-theta):
4.643 Å, I 50
4.122 Å, I 41
3.725 Å, I 100
3.650 Å, I 34
3.380 Å, I 74
2.627 Å, I 43
2.587 Å, I 67
2.232 Å, I 60
2.199 Å, I 21
2.160 Å, I 30
2.011 Å, I 21
1.862 Å, I 20

Atomic structure:
```
data_Nd3DyS6
_symmetry_space_group_name_H-M 'R -3'
_symmetry_Int_Tables_number 148
_symmetry_space_group_name_Hall '-R 3'
_cell_length_a 11.8092
_cell_length_b 11.8092
_cell_length_c 13.9281
_cell_angle_alpha 90.00
_cell_angle_beta 90.00
_cell_angle_gamma 120.00
loop_
_atom_site_label
_atom_site_fract_x
_atom_site_fract_y
_atom_site_fract_z
Nd1 0.0484 0.7784 0.2027
Dy1 0.0000 0.0000 0.0000
Dy2 0.0000 0.0000 0.5000
S1 0.0226 0.8120 0.4000
S2 0.0310 0.8399 0.8778
```

***

[5]
Theoretical powder diffraction line list of HfScPd4 for Cu Kα (λ = 1.5418 Å), from a PBE-relaxed structure.
Peak positions follow from Bragg's law for the DFT cell and can differ from measured ones.

Main lines, by angle (10 to 80 degrees two-theta):
4.793 Å, I 11
4.220 Å, I 17
3.259 Å, I 8
2.397 Å, I 100
2.275 Å, I 85
2.189 Å, I 76
1.775 Å, I 20
1.625 Å, I 15
1.481 Å, I 10
1.379 Å, I 34
1.322 Å, I 29
1.260 Å, I 24

Atomic structure:
```
data_HfScPd4
_symmetry_space_group_name_H-M 'C 1 2/m 1'
_symmetry_Int_Tables_number 12
_symmetry_space_group_name_Hall '-C 2y'
_cell_length_a 4.8145
_cell_length_b 8.8872
_cell_length_c 4.8117
_cell_angle_alpha 90.00
_cell_angle_beta 95.06
_cell_angle_gamma 90.00
loop_
_atom_site_label
_atom_site_fract_x
_atom_site_fract_y
_atom_site_fract_z
Hf1 0.0000 0.0000 0.0000
Sc1 0.0000 0.5000 0.5000
Pd1 0.0000 0.1600 0.5000
Pd2 0.0000 0.3382 0.0000
```

***

[6]
Theoretical powder diffraction line list of Pu4S3Br for Cu Kα (λ = 1.5418 Å), from a PBE-relaxed structure.
Peak positions follow from Bragg's law for the DFT cell and can differ from measured ones.

Main lines, by angle (10 to 80 degrees two-theta):
3.673 Å, I 16
3.352 Å, I 8
3.050 Å, I 100
2.766 Å, I 10
2.476 Å, I 34
1.977 Å, I 16
1.935 Å, I 28
1.779 Å, I 11
1.712 Å, I 13
1.634 Å, I 20
1.525 Å, I 8
1.248 Å, I 21

Atomic structure:
```
data_Pu4S3Br
_symmetry_space_group_name_H-M 'P -3 m 1'
_symmetry_Int_Tables_number 164
_symmetry_space_group_name_Hall '-P 3 2"'
_cell_length_a 3.8706
_cell_length_b 3.8706
_cell_length_c 14.6915
_cell_angle_alpha 90.00
_cell_angle_beta 90.00
_cell_angle_gamma 120.00
loop_
_atom_site_label
_atom_site_fract_x
_atom_site_fract_y
_atom_site_fract_z
Pu1 0.3333 0.6667 0.3458
Pu2 0.3333 0.6667 0.8838
S1 0.0000 0.0000 0.0000
S2 0.0000 0.0000 0.2357
Br1 0.0000 0.0000 0.5000
```

***

[7]
Theoretical powder diffraction line list of Mn3Zn8N8 for Cu Kα (λ = 1.5418 Å), from a PBE-relaxed structure.
Peak positions follow from Bragg's law for the DFT cell and can differ from measured ones.

Main lines, by angle (10 to 80 degrees two-theta):
3.173 Å, I 16
2.933 Å, I 57
2.858 Å, I 41
2.517 Å, I 100
2.484 Å, I 22
2.460 Å, I 78
2.114 Å, I 45
2.045 Å, I 19
1.807 Å, I 33
1.626 Å, I 31
1.539 Å, I 14
1.374 Å, I 22

Atomic structure:
```
data_Mn3Zn8N8
_symmetry_space_group_name_H-M 'C 1 2/m 1'
_symmetry_Int_Tables_number 12
_symmetry_space_group_name_Hall '-C 2y'
_cell_length_a 19.8888
_cell_length_b 3.6148
_cell_length_c 6.8725
_cell_angle_alpha 90.00
_cell_angle_beta 92.49
_cell_angle_gamma 90.00
loop_
_atom_site_label
_atom_site_fract_x
_atom_site_fract_y
_atom_site_fract_z
Mn1 0.0000 0.0000 0.0000
Mn2 0.1693 0.5000 0.2298
Zn1 0.0613 0.5000 0.7638
Zn2 0.0682 0.0000 0.4297
Zn3 0.1772 0.0000 0.9304
Zn4 0.2084 0.5000 0.6054
N1 0.0217 0.0000 0.7244
N2 0.1184 0.5000 0.4432
N3 0.1402 0.5000 0.9767
N4 0.2401 0.0000 0.7044
```

***

[8]
Theoretical powder diffraction line list of Nb3InH for Cu Kα (λ = 1.5418 Å), from a PBE-relaxed structure.
Peak positions follow from Bragg's law for the DFT cell and can differ from measured ones.

Main lines, by angle (10 to 80 degrees two-theta):
2.691 Å, I 6
2.497 Å, I 100
2.439 Å, I 82
2.252 Å, I 37
2.085 Å, I 52
1.530 Å, I 38
1.500 Å, I 10
1.343 Å, I 14
1.333 Å, I 12
1.278 Å, I 20
1.254 Å, I 13
1.248 Å, I 11

Atomic structure:
```
data_Nb3InH
_symmetry_space_group_name_H-M 'C m c e'
_symmetry_Int_Tables_number 64
_symmetry_space_group_name_Hall '-C 2ac 2'
_cell_length_a 11.9984
_cell_length_b 9.0083
_cell_length_c 5.8018
_cell_angle_alpha 90.00
_cell_angle_beta 90.00
_cell_angle_gamma 90.00
loop_
_atom_site_label
_atom_site_fract_x
_atom_site_fract_y
_atom_site_fract_z
Nb1 0.0000 0.2500 0.1912
Nb2 0.1265 0.0000 0.0000
Nb3 0.1264 0.0000 0.5000
In1 0.2500 0.2500 0.2500
H1 0.0000 0.0022 0.2495
```

***

[9]
Theoretical powder diffraction line list of Ac2La2Pm7 for Cu Kα (λ = 1.5418 Å), from a PBE-relaxed structure.
Peak positions follow from Bragg's law for the DFT cell and can differ from measured ones.

Main lines, by angle (10 to 80 degrees two-theta):
3.465 Å, I 16
3.337 Å, I 17
3.030 Å, I 32
3.013 Å, I 19
2.822 Å, I 100
2.696 Å, I 20
2.137 Å, I 12
1.913 Å, I 10
1.879 Å, I 10
1.707 Å, I 16
1.596 Å, I 17
1.202 Å, I 10

Atomic structure:
```
data_Ac2La2Pm7
_symmetry_space_group_name_H-M 'I m m 2'
_symmetry_Int_Tables_number 44
_symmetry_space_group_name_Hall 'I 2 -2'
_cell_length_a 3.7588
_cell_length_b 18.0792
_cell_length_c 12.1205
_cell_angle_alpha 90.00
_cell_angle_beta 90.00
_cell_angle_gamma 90.00
loop_
_atom_site_label
_atom_site_fract_x
_atom_site_fract_y
_atom_site_fract_z
Ac1 0.0000 0.0000 0.0000
Ac2 0.0000 0.5000 0.2206
La1 0.0000 0.3762 0.9740
Pm1 0.0000 0.1603 0.2153
Pm2 0.0000 0.1778 0.7156
Pm3 0.0000 0.3024 0.4691
Pm4 0.0000 0.5000 0.7653
```

***

[10]
Theoretical powder diffraction line list of EuSnF7 for Cu Kα (λ = 1.5418 Å), from a PBE-relaxed structure.
Peak positions follow from Bragg's law for the DFT cell and can differ from measured ones.

Main lines, by angle (10 to 80 degrees two-theta):
4.153 Å, I 100
4.062 Å, I 40
3.955 Å, I 13
3.485 Å, I 20
3.319 Å, I 13
3.160 Å, I 32
3.044 Å, I 11
2.878 Å, I 15
2.091 Å, I 15
1.941 Å, I 12
1.932 Å, I 16
1.828 Å, I 12

Atomic structure:
```
data_EuSnF7
_symmetry_space_group_name_H-M 'P 1 21/c 1'
_symmetry_Int_Tables_number 14
_symmetry_space_group_name_Hall '-P 2ybc'
_cell_length_a 9.1862
_cell_length_b 5.7566
_cell_length_c 12.3098
_cell_angle_alpha 90.00
_cell_angle_beta 117.82
_cell_angle_gamma 90.00
loop_
_atom_site_label
_atom_site_fract_x
_atom_site_fract_y
_atom_site_fract_z
Eu1 0.1887 0.2423 0.2654
Sn1 0.2735 0.7436 0.0435
F1 0.0281 0.7420 0.9468
F2 0.0299 0.5807 0.7344
F3 0.2550 0.5463 0.1710
F4 0.2697 0.0194 0.1411
F5 0.2819 0.0463 0.4556
F6 0.2913 0.5505 0.4197
F7 0.4822 0.2296 0.3593
```

***

[11]
Theoretical powder diffraction line list of Li8AlSe6 for Cu Kα (λ = 1.5418 Å), from a PBE-relaxed structure.
Peak positions follow from Bragg's law for the DFT cell and can differ from measured ones.

Main lines, by angle (10 to 80 degrees two-theta):
5.846 Å, I 25
3.813 Å, I 77
3.407 Å, I 50
3.305 Å, I 73
3.264 Å, I 95
3.232 Å, I 93
3.017 Å, I 100
2.923 Å, I 59
2.179 Å, I 40
2.045 Å, I 39
1.967 Å, I 25
1.907 Å, I 86

Atomic structure:
```
data_Li8AlSe6
_symmetry_space_group_name_H-M 'P m n 21'
_symmetry_Int_Tables_number 31
_symmetry_space_group_name_Hall 'P 2ac -2'
_cell_length_a 6.8238
_cell_length_b 7.8678
_cell_length_c 11.3339
_cell_angle_alpha 90.00
_cell_angle_beta 90.00
_cell_angle_gamma 90.00
loop_
_atom_site_label
_atom_site_fract_x
_atom_site_fract_y
_atom_site_fract_z
Li1 0.0000 0.1053 0.0000
Li2 0.0000 0.2403 0.4280
Li3 0.2122 0.5730 0.7741
Li4 0.2158 0.9466 0.7707
Li5 0.2279 0.7401 0.1047
Al1 0.0000 0.7447 0.4789
Se1 0.0000 0.0058 0.5858
Se2 0.0000 0.2404 0.2104
Se3 0.0000 0.4894 0.5890
Se4 0.0000 0.7770 0.9245
Se5 0.2406 0.2575 0.8344
```